Simulated powder diffraction line list
Compound: LiFeP2Ir
Radiation: CuKα
Structure: a cell relaxed with PBE
Kinematic intensities with the Lorentz-polarization factor, no thermal factor.

Largest 8 diffraction maxima, by angle, 5 to 70 degrees two-theta:
Position (°2θ)  intensity  index
19.17  1000  0 0 2
24.78  674  1 0 1
32.48  308  1 1 0
37.15  248  1 0 3
37.99  805  1 1 2
46.59  335  2 0 0
50.82  307  2 0 2
51.55  462  1 1 4

Cell and atoms:
a b c (Å): 3.8985 3.8985 9.2615
angles (deg): 90.00 90.00 90.00
Fractional coordinates of all 10 atoms:
1 Li 0.0000 0.0000 0.0000
2 Li 0.5000 0.5000 0.5000
3 Fe 0.0000 0.5000 0.7500
4 Fe 0.5000 0.0000 0.2500
5 P 0.0000 0.0000 0.3782
6 P 0.0000 0.0000 0.6218
7 P 0.5000 0.5000 0.1218
8 P 0.5000 0.5000 0.8782
9 Ir 0.0000 0.5000 0.2500
10 Ir 0.5000 0.0000 0.7500